(1)
Theoretical powder XRD pattern of Pr5Dy5Ho for Cu Kα X-rays, from the PBE geometry in Alexandria.
Lines closer than 0.1° are merged.

Most intense lines, 10 to 80 degrees two-theta, sorted by position:
| 2theta | I/Imax | (hkl) |
| --- | --- | --- |
| 27.15 | 213 | 4 0 -2 |
| 29.58 | 578 | 0 2 0 |
| 30.29 | 321 | 6 0 0 |
| 33.04 | 1000 | 1 1 2 |
| 42.85 | 249 | 6 2 0 |
| 54.72 | 239 | 1 3 2 |

Structural model:
```
data_Pr5Dy5Ho
_chemical_formula_sum 'Pr10 Dy10 Ho2'
_space_group_name_H-M_alt 'C 1 2/m 1'
_space_group_IT_number 12
_space_group_name_Hall '-C 2y'
_cell_length_a 19.0572
_cell_length_b 6.0399
_cell_length_c 7.0729
_cell_angle_alpha 90.00
_cell_angle_beta 111.70
_cell_angle_gamma 90.00
loop_
_atom_site_label
_atom_site_type_symbol
_atom_site_fract_x
_atom_site_fract_y
_atom_site_fract_z
Pr1 Pr 0.0000 0.0000 0.0000
Pr2 Pr 0.1752 0.5000 0.4198
Pr3 Pr 0.1753 0.5000 0.9313
Dy1 Dy 0.0000 0.5000 0.5000
Dy2 Dy 0.1219 0.0000 0.6227
Dy3 Dy 0.1688 0.0000 0.1695
Ho1 Ho 0.0000 0.5000 0.0000
```

=====

(2)
Theoretical powder XRD pattern of Pr8Dy4Ho3 for Cu Kα X-rays, from the PBE geometry in Alexandria.
Lines closer than 0.1° are merged.

Most intense lines, 10 to 80 degrees two-theta, sorted by position:
| 2theta | I/Imax | (hkl) |
| --- | --- | --- |
| 29.34 | 320 | 0 2 1 |
| 29.79 | 591 | 0 0 12 |
| 30.90 | 1000 | 0 2 4 |
| 35.51 | 723 | 2 0 8 |
| 51.81 | 387 | 2 2 0 |
| 60.91 | 477 | 2 2 12 |

Structural model:
```
data_Pr8Dy4Ho3
_chemical_formula_sum 'Pr24 Dy12 Ho9'
_space_group_name_H-M_alt 'R -3 m'
_space_group_IT_number 166
_space_group_name_Hall '-R 3 2"'
_cell_length_a 7.0588
_cell_length_b 7.0588
_cell_length_c 35.9946
_cell_angle_alpha 90.00
_cell_angle_beta 90.00
_cell_angle_gamma 120.00
loop_
_atom_site_label
_atom_site_type_symbol
_atom_site_fract_x
_atom_site_fract_y
_atom_site_fract_z
Pr1 Pr 0.0000 0.0000 0.2457
Pr2 Pr 0.0014 0.5007 0.7503
Dy1 Dy 0.0000 0.0000 0.0000
Dy2 Dy 0.0000 0.0000 0.3355
Dy3 Dy 0.0000 0.0000 0.5000
Ho1 Ho 0.0000 0.5000 0.5000
```